For Cd2MoRhO6, a cell relaxed with GGA+U gives the calculated X-ray diffraction stick pattern in this record (λ = 1.5418 Å (Cu Kα)).
Peak positions follow from Bragg's law for the DFT cell and can differ from measured ones.

Structure:
```
data_Cd2MoRhO6
_chemical_formula_sum 'Cd2 Mo1 Rh1 O6'
_symmetry_space_group_name_H-M 'P 4 m m'
_symmetry_Int_Tables_number 99
_cell_length_a 5.506
_cell_length_b 5.506
_cell_length_c 4.167
_cell_angle_alpha 90.00
_cell_angle_beta 90.00
_cell_angle_gamma 90.00
loop_
_symmetry_equiv_pos_as_xyz
'x,y,z'
'-y,x,z'
'-x,-y,z'
'y,-x,z'
'-x,y,z'
'y,x,z'
'x,-y,z'
'-y,-x,z'
loop_
_atom_site_label
_atom_site_type_symbol
_atom_site_fract_x
_atom_site_fract_y
_atom_site_fract_z
Cd1 Cd 0.000 0.500 0.000
Mo1 Mo 0.000 0.000 0.545
Rh1 Rh 0.500 0.500 0.562
O1 O 0.000 0.000 0.067
O2 O 0.247 0.247 0.577
O3 O 0.500 0.500 0.064
```

Largest 8 diffraction maxima, by angle, 15° ≤ 2θ ≤ 90°:
2.845 Å, 2θ = 31.45°, intensity 100, (1 1 1); 2.753 Å, 2θ = 32.52°, intensity 47, (2 0 0); 2.083 Å, 2θ = 43.44°, intensity 15, (0 0 2); 1.947 Å, 2θ = 46.66°, intensity 29, (2 2 0); 1.661 Å, 2θ = 55.30°, intensity 19, (2 0 2); 1.607 Å, 2θ = 57.35°, intensity 35, (3 1 1); 1.422 Å, 2θ = 65.64°, intensity 16, (2 2 2); 1.239 Å, 2θ = 76.94°, intensity 9, (3 3 1)